Calculated X-ray diffraction stick pattern
Compound: K3PmAu2O6
Radiation: Cu Kα X-rays
Structure: a crystal structure in Alexandria, relaxed with GGA-PBE
Lines closer than 0.1° are merged.

Main lines, low angle first (5 to 70 degrees two-theta):
two_theta	Rel. int.	hkl
12.1	25.2	0 0 1
19.9	92.3	1 0 1
27.5	100.0	1 1 0
29.1	74.4	1 0 2
40.2	17.6	0 1 3
40.5	38.0	0 2 2
44.4	26.5	2 1 1
48.7	20.9	3 0 0
49.6	42.8	0 0 4
56.8	17.9	2 2 0

Structure:
Cell: 6.4828 6.4828 7.3393 Å, 90.00 90.00 120.00°
Positions (direct):
K: 0.0000 0.0000 0.0000
K: 0.3333 0.6667 0.7467
K: 0.6667 0.3333 0.2533
Pm: 0.0000 0.0000 0.5000
Au: 0.3333 0.6667 0.2836
Au: 0.6667 0.3333 0.7164
O: 0.1550 0.3100 0.2866
O: 0.1550 0.8450 0.2866
O: 0.3100 0.1550 0.7134
O: 0.6900 0.8450 0.2866
O: 0.8450 0.1550 0.7134
O: 0.8450 0.6900 0.7134